The following is a theoretical powder diffractogram of Li2Lu3Ge3. It was derived from a GGA-PBE-relaxed structure, using Cu Kα.
Lines closer than 0.1° are merged.

Most intense lines, 2θ = 10–90°, in order of falling intensity:
hkl 1 1 4, 34.69 deg, rel. 100; hkl 1 3 1, 33.02 deg, rel. 56; hkl 1 1 1, 23.84 deg, rel. 34; hkl 1 3 0, 32.37 deg, rel. 28; hkl 2 0 0, 43.82 deg, rel. 28; hkl 0 2 5, 36.12 deg, rel. 27

```
data_Li2Lu3Ge3
_chemical_formula_sum 'Li8 Lu12 Ge12'
_space_group_name_H-M_alt 'C m c m'
_space_group_IT_number 63
_space_group_name_Hall '-C 2c 2'
_cell_length_a 4.132
_cell_length_b 11.169
_cell_length_c 13.888
_cell_angle_alpha 90.00
_cell_angle_beta 90.00
_cell_angle_gamma 90.00
loop_
_atom_site_label
_atom_site_fract_x
_atom_site_fract_y
_atom_site_fract_z
Li1 0.000 0.222 0.079
Lu1 0.000 0.070 0.619
Lu2 0.000 0.361 0.750
Ge1 0.000 0.332 0.250
Ge2 0.000 0.401 0.545
```



The following is a theoretical powder diffractogram of LiLuGe. It was derived from a GGA-PBE-relaxed structure, using Cu Kα.
Lines closer than 0.1° are merged.

Most intense lines, 2θ = 10–90°, in order of falling intensity:
hkl 2 0 1, 36.62 deg, rel. 100; hkl 1 1 1, 33.38 deg, rel. 93; hkl 1 1 0, 25.50 deg, rel. 47; hkl 0 0 1, 21.17 deg, rel. 47; hkl 2 0 0, 29.53 deg, rel. 41; hkl 3 1 1, 59.32 deg, rel. 35

```
data_LiLuGe
_chemical_formula_sum 'Li3 Lu3 Ge3'
_space_group_name_H-M_alt 'P -6 2 m'
_space_group_IT_number 189
_space_group_name_Hall 'P -6 -2'
_cell_length_a 6.9849
_cell_length_b 6.9849
_cell_length_c 4.1962
_cell_angle_alpha 90.00
_cell_angle_beta 90.00
_cell_angle_gamma 120.00
loop_
_atom_site_label
_atom_site_fract_x
_atom_site_fract_y
_atom_site_fract_z
Li1 0.0000 0.2400 0.0000
Lu1 0.0000 0.5817 0.5000
Ge1 0.0000 0.0000 0.5000
Ge2 0.3333 0.6667 0.0000
```



The following is a theoretical powder diffractogram of Li4MnGe2S7. It was derived from a GGA-PBE-relaxed structure, using Cu Kα.
Lines closer than 0.1° are merged.

Most intense lines, 2θ = 10–90°, in order of falling intensity:
hkl 1 1 -1, 16.39 deg, rel. 100; hkl 3 1 -2, 26.17 deg, rel. 79; hkl 4 0 2, 28.40 deg, rel. 75; hkl 3 3 -2, 46.48 deg, rel. 62; hkl 0 0 2, 17.44 deg, rel. 57; hkl 5 1 -1, 30.08 deg, rel. 48

```
data_Li4MnGe2S7
_chemical_formula_sum 'Li16 Mn4 Ge8 S28'
_space_group_name_H-M_alt 'C 1 c 1'
_space_group_IT_number 9
_cell_length_a 17.064
_cell_length_b 6.748
_cell_length_c 10.203
_cell_angle_alpha 90.00
_cell_angle_beta 94.53
_cell_angle_gamma 90.00
loop_
_space_group_symop_operation_xyz
'x,y,z'
'x,-y,z+1/2'
'x+1/2,y+1/2,z'
'x+1/2,-y+1/2,z+1/2'
loop_
_atom_site_label
_atom_site_fract_x
_atom_site_fract_y
_atom_site_fract_z
Li1 0.000 0.142 0.000
Li2 0.069 0.326 0.343
Li3 0.208 0.316 0.062
Li4 0.277 0.165 0.426
Mn1 0.426 0.175 0.149
Ge1 0.137 0.170 0.724
Ge2 0.351 0.326 0.787
S1 0.041 0.197 0.559
S2 0.101 0.333 0.895
S3 0.173 0.141 0.254
S4 0.242 0.333 0.636
S5 0.323 0.174 0.971
S6 0.384 0.360 0.333
S7 0.448 0.174 0.691
```



The following is a theoretical powder diffractogram of LiGeN. It was derived from a GGA-PBE-relaxed structure, using Cu Kα.
Lines closer than 0.1° are merged.

Most intense lines, 2θ = 10–90°, in order of falling intensity:
hkl 0 0 2, 18.84 deg, rel. 100; hkl 1 0 2, 39.49 deg, rel. 93; hkl 1 0 0, 34.38 deg, rel. 51; hkl 1 0 4, 52.34 deg, rel. 42; hkl 1 1 2, 65.01 deg, rel. 19; hkl 1 0 6, 69.94 deg, rel. 19

```
data_LiGeN
_chemical_formula_sum 'Li2 Ge2 N2'
_space_group_name_H-M_alt 'P 63 m c'
_space_group_IT_number 186
_space_group_name_Hall 'P 6c -2c'
_cell_length_a 3.0124
_cell_length_b 3.0124
_cell_length_c 9.4195
_cell_angle_alpha 90.00
_cell_angle_beta 90.00
_cell_angle_gamma 120.00
loop_
_atom_site_label
_atom_site_fract_x
_atom_site_fract_y
_atom_site_fract_z
Li1 0.3333 0.6667 0.0000
Ge1 0.0000 0.0000 0.2546
N1 0.3333 0.6667 0.3598
```



The following is a theoretical powder diffractogram of Li2GeN2. It was derived from a GGA-PBE-relaxed structure, using Cu Kα.
Lines closer than 0.1° are merged.

Most intense lines, 2θ = 10–90°, in order of falling intensity:
hkl 1 1 0, 20.69 deg, rel. 100; hkl 1 0 0, 15.82 deg, rel. 94; hkl 0 1 1, 20.82 deg, rel. 92; hkl 1 0 -2, 35.53 deg, rel. 76; hkl 1 1 -1, 25.85 deg, rel. 67; hkl 2 2 -1, 44.80 deg, rel. 50

```
data_Li2GeN2
_chemical_formula_sum 'Li8 Ge4 N8'
_space_group_name_H-M_alt 'P 1 21/c 1'
_space_group_IT_number 14
_cell_length_a 5.605
_cell_length_b 6.684
_cell_length_c 5.549
_cell_angle_alpha 90.00
_cell_angle_beta 92.34
_cell_angle_gamma 90.00
loop_
_space_group_symop_operation_xyz
'x,y,z'
'-x,-y,-z'
'-x,y+1/2,-z+1/2'
'x,-y+1/2,z+1/2'
loop_
_atom_site_label
_atom_site_fract_x
_atom_site_fract_y
_atom_site_fract_z
Li1 0.054 0.163 0.227
Li2 0.317 0.097 0.907
Ge1 0.350 0.638 0.925
N1 0.229 0.649 0.604
N2 0.303 0.122 0.549
```



The following is a theoretical powder diffractogram of LiGeN. It was derived from a GGA-PBE-relaxed structure, using Cu Kα.
Lines closer than 0.1° are merged.

Most intense lines, 2θ = 10–90°, in order of falling intensity:
hkl 1 0 1, 20.55 deg, rel. 100; hkl 0 1 1, 25.10 deg, rel. 93; hkl 1 1 2, 37.59 deg, rel. 86; hkl 2 0 0, 32.36 deg, rel. 34; hkl 3 0 2, 56.51 deg, rel. 30; hkl 0 2 0, 43.82 deg, rel. 27

```
data_LiGeN
_chemical_formula_sum 'Li4 Ge4 N4'
_space_group_name_H-M_alt 'P n m a'
_space_group_IT_number 62
_cell_length_a 5.534
_cell_length_b 4.132
_cell_length_c 6.924
_cell_angle_alpha 90.00
_cell_angle_beta 90.00
_cell_angle_gamma 90.00
loop_
_space_group_symop_operation_xyz
'x,y,z'
'-x,-y,-z'
'-x+1/2,-y,z+1/2'
'x+1/2,y,-z+1/2'
'x+1/2,-y+1/2,-z+1/2'
'-x+1/2,y+1/2,z+1/2'
'-x,y+1/2,-z'
'x,-y+1/2,z'
loop_
_atom_site_label
_atom_site_fract_x
_atom_site_fract_y
_atom_site_fract_z
Li1 0.077 0.250 0.088
Ge1 0.042 0.250 0.608
N1 0.123 0.750 0.155
```